No. 1
Calculated powder diffraction line list of Al2O3 for a wavelength of 1.5418 Å, from a crystal structure in Alexandria, relaxed with GGA-PBE.

Atomic structure:
a b c (Å): 5.6032 5.6224 9.3522
angles (deg): 79.12 81.26 60.17
Atoms (fractional coordinates):
1 Al 0.0000 0.0000 0.0000
2 Al 0.0061 0.4796 0.0042
3 Al 0.0785 0.6582 0.3020
4 Al 0.1876 0.7369 0.7363
5 Al 0.4055 0.4331 0.5104
6 Al 0.4238 0.9517 0.4891
7 Al 0.4951 0.9217 0.1921
8 Al 0.5110 0.4841 0.0023
9 Al 0.5271 0.0403 0.8091
10 Al 0.8997 0.3904 0.6744
11 O 0.0822 0.5764 0.6228
12 O 0.0967 0.0614 0.6160
13 O 0.1506 0.6394 0.1056
14 O 0.1647 0.1256 0.1028
15 O 0.2882 0.3072 0.3812
16 O 0.2994 0.7657 0.3652
17 O 0.3411 0.3859 0.8698
18 O 0.3452 0.8401 0.8695
19 O 0.5532 0.5849 0.6096
20 O 0.5588 0.0870 0.6137
21 O 0.6557 0.1310 0.0940
22 O 0.6654 0.6198 0.0992
23 O 0.7225 0.8140 0.3476
24 O 0.8587 0.3513 0.8752
25 O 0.8774 0.8465 0.8682

The 10 most intense peaks (10° ≤ 2θ ≤ 90°), in order of falling intensity:
| 2θ (°) | I_rel |
| --- | --- |
| 43.37 | 100 |
| 66.55 | 91 |
| 18.31 | 91 |
| 35.76 | 83 |
| 44.63 | 74 |
| 49.53 | 60 |
| 66.78 | 50 |
| 20.13 | 47 |
| 39.06 | 46 |
| 36.86 | 45 |

***

No. 2
Calculated powder diffraction line list of Tb5HoEr2 for a wavelength of 1.5418 Å, from a crystal structure in Alexandria, relaxed with GGA-PBE.

Atomic structure:
a b c (Å): 8.6074 8.6074 11.3478
angles (deg): 90.15 90.15 38.00
Atoms (fractional coordinates):
1 Tb 0.0434 0.0434 0.3856
2 Tb 0.0473 0.0473 0.1108
3 Tb 0.3940 0.3940 0.7505
4 Tb 0.4111 0.4111 0.4225
5 Tb 0.4122 0.4122 0.0825
6 Tb 0.5878 0.5878 0.9175
7 Tb 0.5889 0.5889 0.5775
8 Tb 0.6060 0.6060 0.2495
9 Tb 0.9527 0.9527 0.8892
10 Tb 0.9566 0.9566 0.6144
11 Ho 0.2276 0.2276 0.2509
12 Ho 0.7724 0.7724 0.7491
13 Er 0.2133 0.2133 0.5796
14 Er 0.2143 0.2143 0.9198
15 Er 0.7857 0.7857 0.0802
16 Er 0.7867 0.7867 0.4204

The 10 most intense peaks (10° ≤ 2θ ≤ 90°), in order of falling intensity:
| 2θ (°) | I_rel |
| --- | --- |
| 33.00 | 100 |
| 31.94 | 36 |
| 31.79 | 36 |
| 57.59 | 19 |
| 25.98 | 17 |
| 58.91 | 15 |
| 41.62 | 10 |
| 32.78 | 10 |
| 48.11 | 9 |
| 61.36 | 9 |

***

No. 3
Calculated powder diffraction line list of Ag5Br5Cl2 for a wavelength of 1.5418 Å, from a crystal structure in Alexandria, relaxed with GGA-PBE.

Atomic structure:
a b c (Å): 3.8802 6.9189 13.2259
angles (deg): 79.56 81.85 73.72
Atoms (fractional coordinates):
1 Ag 0.0000 0.0000 0.0000
2 Ag 0.1845 0.3494 0.2719
3 Ag 0.4076 0.7739 0.4076
4 Ag 0.5924 0.2261 0.5924
5 Ag 0.8155 0.6506 0.7281
6 Br 0.0000 0.5000 0.5000
7 Br 0.2148 0.9343 0.6409
8 Br 0.3617 0.2035 0.0742
9 Br 0.6383 0.7965 0.9258
10 Br 0.7852 0.0657 0.3591
11 Cl 0.4231 0.3977 0.7672
12 Cl 0.5769 0.6023 0.2328

The 10 most intense peaks (10° ≤ 2θ ≤ 90°), in order of falling intensity:
| 2θ (°) | I_rel |
| --- | --- |
| 31.33 | 100 |
| 20.63 | 70 |
| 28.88 | 63 |
| 33.52 | 57 |
| 43.07 | 55 |
| 22.91 | 41 |
| 46.83 | 32 |
| 16.01 | 30 |
| 45.67 | 23 |
| 46.43 | 20 |

***

No. 4
Calculated powder diffraction line list of TbPS for a wavelength of 1.5418 Å, from a crystal structure in Alexandria, relaxed with GGA-PBE.

Atomic structure:
a b c (Å): 7.0226 3.6733 9.2481
angles (deg): 90.00 90.00 90.00
Atoms (fractional coordinates):
1 Tb 0.2065 0.2500 0.1600
2 Tb 0.2935 0.7500 0.6600
3 Tb 0.7065 0.2500 0.3400
4 Tb 0.7935 0.7500 0.8400
5 P 0.0889 0.2500 0.4620
6 P 0.4111 0.7500 0.9620
7 P 0.5889 0.2500 0.0380
8 P 0.9111 0.7500 0.5380
9 S 0.0924 0.2500 0.8451
10 S 0.4076 0.7500 0.3451
11 S 0.5924 0.2500 0.6549
12 S 0.9076 0.7500 0.1549

The 10 most intense peaks (10° ≤ 2θ ≤ 90°), in order of falling intensity:
| 2θ (°) | I_rel |
| --- | --- |
| 40.29 | 100 |
| 23.03 | 82 |
| 26.10 | 61 |
| 36.72 | 59 |
| 35.36 | 43 |
| 29.08 | 42 |
| 25.37 | 30 |
| 43.32 | 25 |
| 31.70 | 24 |
| 41.10 | 20 |

***

No. 5
Calculated powder diffraction line list of DyH6Ru for a wavelength of 1.5418 Å, from a crystal structure in Alexandria, relaxed with GGA-PBE.

Atomic structure:
a b c (Å): 4.5210 4.5210 4.5210
angles (deg): 59.16 59.16 59.16
Atoms (fractional coordinates):
1 Dy 0.0000 0.0000 0.0000
2 H 0.0500 0.6026 0.6026
3 H 0.3974 0.3974 0.9500
4 H 0.3974 0.9500 0.3974
5 H 0.6026 0.0500 0.6026
6 H 0.6026 0.6026 0.0500
7 H 0.9500 0.3974 0.3974
8 Ru 0.5000 0.5000 0.5000

The 10 most intense peaks (10° ≤ 2θ ≤ 90°), in order of falling intensity:
| 2θ (°) | I_rel |
| --- | --- |
| 28.09 | 100 |
| 39.89 | 41 |
| 40.41 | 38 |
| 49.94 | 21 |
| 65.37 | 19 |
| 66.11 | 18 |
| 73.14 | 13 |
| 58.08 | 13 |
| 49.05 | 7 |
| 72.07 | 7 |

***

No. 6
Calculated powder diffraction line list of CsH6PdRu for a wavelength of 1.5418 Å, from a crystal structure in Alexandria, relaxed with GGA-PBE.

Atomic structure:
a b c (Å): 4.4892 4.4892 6.4225
angles (deg): 90.44 90.44 103.41
Atoms (fractional coordinates):
1 Cs 0.0000 0.0000 0.0000
2 H 0.0003 0.5030 0.6692
3 H 0.4960 0.0094 0.6690
4 H 0.4970 0.9997 0.3308
5 H 0.5439 0.4487 0.3710
6 H 0.5513 0.4561 0.6290
7 H 0.9906 0.5040 0.3310
8 Pd 0.2679 0.7321 0.5000
9 Ru 0.7406 0.2594 0.5000

The 10 most intense peaks (10° ≤ 2θ ≤ 90°), in order of falling intensity:
| 2θ (°) | I_rel |
| --- | --- |
| 28.90 | 100 |
| 27.78 | 55 |
| 32.18 | 37 |
| 43.66 | 31 |
| 43.93 | 30 |
| 24.54 | 30 |
| 24.77 | 29 |
| 20.34 | 24 |
| 13.79 | 21 |
| 49.84 | 21 |

***

No. 7
Calculated powder diffraction line list of PrGa4Pd2 for a wavelength of 1.5418 Å, from a crystal structure in Alexandria, relaxed with GGA-PBE.

Atomic structure:
a b c (Å): 17.6429 4.4131 6.6155
angles (deg): 90.00 90.00 90.00
Atoms (fractional coordinates):
1 Pr 0.1389 0.2500 0.0073
2 Pr 0.3611 0.7500 0.5073
3 Pr 0.6389 0.2500 0.4927
4 Pr 0.8611 0.7500 0.9927
5 Ga 0.0366 0.7500 0.8281
6 Ga 0.0737 0.2500 0.4876
7 Ga 0.1827 0.7500 0.3186
8 Ga 0.1902 0.7500 0.7186
9 Ga 0.3098 0.2500 0.2186
10 Ga 0.3173 0.2500 0.8186
11 Ga 0.4263 0.7500 0.9876
12 Ga 0.4634 0.2500 0.3281
13 Ga 0.5366 0.7500 0.6719
14 Ga 0.5737 0.2500 0.0124
15 Ga 0.6827 0.7500 0.1814
16 Ga 0.6902 0.7500 0.7814
17 Ga 0.8098 0.2500 0.2814
18 Ga 0.8173 0.2500 0.6814
19 Ga 0.9263 0.7500 0.5124
20 Ga 0.9634 0.2500 0.1719
21 Pd 0.0347 0.7500 0.2533
22 Pd 0.2180 0.2500 0.5230
23 Pd 0.2820 0.7500 0.0230
24 Pd 0.4653 0.2500 0.7533
25 Pd 0.5347 0.7500 0.2467
26 Pd 0.7180 0.2500 0.9770
27 Pd 0.7820 0.7500 0.4770
28 Pd 0.9653 0.2500 0.7467

The 10 most intense peaks (10° ≤ 2θ ≤ 90°), in order of falling intensity:
| 2θ (°) | I_rel |
| --- | --- |
| 35.41 | 100 |
| 35.28 | 59 |
| 40.90 | 50 |
| 38.21 | 30 |
| 36.73 | 23 |
| 70.90 | 20 |
| 57.21 | 18 |
| 46.14 | 16 |
| 67.34 | 14 |
| 28.66 | 13 |

***

No. 8
Calculated powder diffraction line list of LaCeNd14 for a wavelength of 1.5418 Å, from a crystal structure in Alexandria, relaxed with GGA-PBE.

Atomic structure:
a b c (Å): 10.4192 7.3504 7.3504
angles (deg): 90.01 90.00 90.00
Atoms (fractional coordinates):
1 La 0.0000 0.0000 0.0000
2 Ce 0.0000 0.5009 0.5009
3 Nd 0.0000 0.0013 0.4998
4 Nd 0.0000 0.4998 0.0013
5 Nd 0.2493 0.2532 0.2532
6 Nd 0.2489 0.2529 0.7481
7 Nd 0.2489 0.7481 0.2529
8 Nd 0.2486 0.7479 0.7479
9 Nd 0.5000 0.0000 0.5012
10 Nd 0.5000 0.0009 0.0009
11 Nd 0.5000 0.5002 0.5002
12 Nd 0.5000 0.5012 0.0000
13 Nd 0.7507 0.2532 0.2532
14 Nd 0.7511 0.2529 0.7481
15 Nd 0.7511 0.7481 0.2529
16 Nd 0.7514 0.7479 0.7479

The 10 most intense peaks (10° ≤ 2θ ≤ 90°), in order of falling intensity:
| 2θ (°) | I_rel |
| --- | --- |
| 29.75 | 100 |
| 34.49 | 51 |
| 49.57 | 36 |
| 58.92 | 29 |
| 80.49 | 18 |
| 58.81 | 14 |
| 61.78 | 12 |
| 83.08 | 11 |
| 82.92 | 5 |
| 72.78 | 4 |

***

Repeat the first record exactly.
Calculated powder diffraction line list of Al2O3 for a wavelength of 1.5418 Å, from a crystal structure in Alexandria, relaxed with GGA-PBE.

Atomic structure:
a b c (Å): 5.6032 5.6224 9.3522
angles (deg): 79.12 81.26 60.17
Atoms (fractional coordinates):
1 Al 0.0000 0.0000 0.0000
2 Al 0.0061 0.4796 0.0042
3 Al 0.0785 0.6582 0.3020
4 Al 0.1876 0.7369 0.7363
5 Al 0.4055 0.4331 0.5104
6 Al 0.4238 0.9517 0.4891
7 Al 0.4951 0.9217 0.1921
8 Al 0.5110 0.4841 0.0023
9 Al 0.5271 0.0403 0.8091
10 Al 0.8997 0.3904 0.6744
11 O 0.0822 0.5764 0.6228
12 O 0.0967 0.0614 0.6160
13 O 0.1506 0.6394 0.1056
14 O 0.1647 0.1256 0.1028
15 O 0.2882 0.3072 0.3812
16 O 0.2994 0.7657 0.3652
17 O 0.3411 0.3859 0.8698
18 O 0.3452 0.8401 0.8695
19 O 0.5532 0.5849 0.6096
20 O 0.5588 0.0870 0.6137
21 O 0.6557 0.1310 0.0940
22 O 0.6654 0.6198 0.0992
23 O 0.7225 0.8140 0.3476
24 O 0.8587 0.3513 0.8752
25 O 0.8774 0.8465 0.8682

The 10 most intense peaks (10° ≤ 2θ ≤ 90°), in order of falling intensity:
| 2θ (°) | I_rel |
| --- | --- |
| 43.37 | 100 |
| 66.55 | 91 |
| 18.31 | 91 |
| 35.76 | 83 |
| 44.63 | 74 |
| 49.53 | 60 |
| 66.78 | 50 |
| 20.13 | 47 |
| 39.06 | 46 |
| 36.86 | 45 |